For LiMnPO4, a cell relaxed with PBE+U gives the computed PXRD pattern in this record (Cu Kα X-rays).
Neutral-atom scattering factors, no anomalous dispersion.

Top 10 peaks for 5 to 70 degrees two-theta, most intense first:
d (Å)  intensity
6.989  100
3.878  99
3.914  95
2.755  54
3.011  48
1.956  46
2.765  39
3.501  33
1.621  26
1.754  21

Crystal structure
Cell: 8.687 8.687 6.022 Å, 90.00 90.00 126.44°
Element x y z (fractional)
Li  0.234  0.764  0.000
Li  0.236  0.766  0.500
Li  0.764  0.234  0.500
Li  0.766  0.236  0.000
Mn  0.210  0.403  0.749
Mn  0.403  0.210  0.249
Mn  0.597  0.790  0.249
Mn  0.790  0.597  0.749
P  0.164  0.422  0.252
P  0.422  0.164  0.752
P  0.578  0.836  0.752
P  0.836  0.578  0.252
O  0.038  0.350  0.466
O  0.041  0.348  0.036
O  0.293  0.649  0.250
O  0.298  0.363  0.259
O  0.348  0.041  0.536
O  0.350  0.038  0.966
O  0.351  0.707  0.750
O  0.363  0.298  0.759
O  0.637  0.702  0.759
O  0.649  0.293  0.750
O  0.650  0.962  0.966
O  0.652  0.959  0.536
O  0.702  0.637  0.259
O  0.707  0.351  0.250
O  0.959  0.652  0.036
O  0.962  0.650  0.466